Diffraction record for Cu4Ag5. The powder XRD pattern is simulated, not measured: it uses a cell relaxed with GGA-PBE and copper Kα.
No peak broadening, texture or thermal motion is included.

Top 10 peaks for 10 to 90 degrees two-theta, low angle first:
36.65 deg, I = 15
39.75 deg, I = 100
42.95 deg, I = 8
44.99 deg, I = 43
48.64 deg, I = 7
63.95 deg, I = 9
65.52 deg, I = 13
68.41 deg, I = 9
78.50 deg, I = 9
79.45 deg, I = 24

Unit cell a=2.8494 b=2.8494 c=33.6942 alpha=90.00 beta=90.00 gamma=90.00
Space group I4mm (No. 107)
Inequivalent atoms, fractional coordinates:
Cu1 0.0000 0.0000 0.0000 x2
Cu2 0.0000 0.0000 0.0888 x2
Cu3 0.0000 0.0000 0.3261 x2
Cu4 0.0000 0.0000 0.5445 x2
Ag1 0.0000 0.0000 0.2078 x2
Ag2 0.0000 0.0000 0.4450 x2
Ag3 0.0000 0.0000 0.6436 x2
Ag4 0.0000 0.0000 0.7715 x2
Ag5 0.0000 0.0000 0.8805 x2

---

Diffraction record for Cu17Ag3. The powder XRD pattern is simulated, not measured: it uses a cell relaxed with GGA-PBE and copper Kα.
No peak broadening, texture or thermal motion is included.

Top 10 peaks for 10 to 90 degrees two-theta, low angle first:
42.36 deg, I = 100
49.07 deg, I = 16
49.37 deg, I = 15
49.51 deg, I = 16
72.16 deg, I = 9
72.27 deg, I = 9
72.52 deg, I = 9
87.18 deg, I = 10
87.64 deg, I = 10
87.85 deg, I = 10

Unit cell a=5.8230 b=9.0744 c=10.4733 alpha=72.93 beta=77.09 gamma=75.16
Space group P1 (No. 1)
Inequivalent atoms, fractional coordinates:
Cu1 0.0000 0.0000 0.0000 x1
Cu2 0.0004 0.4956 0.0038 x1
Cu3 0.0023 0.4852 0.2639 x1
Cu4 0.0030 0.9940 0.7554 x1
Cu5 0.0036 0.0031 0.2583 x1
Cu6 0.1909 0.7029 0.0471 x1
Cu7 0.1963 0.1925 0.0520 x1
Cu8 0.1990 0.7073 0.5617 x1
Cu9 0.2000 0.1880 0.5573 x1
Cu10 0.2005 0.7007 0.8064 x1
Cu11 0.2016 0.1882 0.3122 x1
Cu12 0.2065 0.1858 0.8084 x1
Cu13 0.3874 0.9066 0.0994 x1
Cu14 0.3970 0.9027 0.3640 x1
Cu15 0.3990 0.8991 0.6092 x1
Cu16 0.3996 0.8973 0.8556 x1
Cu17 0.4061 0.3810 0.3594 x1
Cu18 0.4149 0.3926 0.8541 x1
Cu19 0.5897 0.6049 0.8995 x1
Cu20 0.5913 0.6045 0.6566 x1
Cu21 0.5969 0.0974 0.1572 x1
Cu22 0.6011 0.0954 0.9060 x1
Cu23 0.6044 0.0933 0.4079 x1
Cu24 0.6061 0.0890 0.6577 x1
Cu25 0.6132 0.5971 0.4125 x1
Cu26 0.7935 0.7990 0.4670 x1
Cu27 0.7956 0.8028 0.7060 x1
Cu28 0.8002 0.8025 0.9456 x1
Cu29 0.8049 0.2876 0.9584 x1
Cu30 0.8108 0.2830 0.7087 x1
Cu31 0.8111 0.2872 0.4540 x1
Cu32 0.8153 0.2872 0.2078 x1
Cu33 0.9882 0.4866 0.5088 x1
Cu34 0.9988 0.9953 0.5084 x1
Ag1 0.2035 0.6928 0.3162 x1
Ag2 0.3947 0.3914 0.1047 x1
Ag3 0.4100 0.3927 0.6028 x1
Ag4 0.6078 0.5943 0.1523 x1
Ag5 0.7952 0.8055 0.2060 x1
Ag6 0.9929 0.4965 0.7581 x1

---

Diffraction record for Cu3Ag7. The powder XRD pattern is simulated, not measured: it uses a cell relaxed with GGA-PBE and copper Kα.
No peak broadening, texture or thermal motion is included.

Top 10 peaks for 10 to 90 degrees two-theta, low angle first:
27.69 deg, I = 5
38.47 deg, I = 100
39.98 deg, I = 28
45.17 deg, I = 61
64.74 deg, I = 20
66.84 deg, I = 16
77.89 deg, I = 11
78.87 deg, I = 21
80.82 deg, I = 8
82.43 deg, I = 10

Unit cell a=2.8800 b=2.8800 c=67.6483 alpha=90.00 beta=90.00 gamma=120.00
Space group R-3m (No. 166, hexagonal axes)
Inequivalent atoms, fractional coordinates:
Cu1 0.0000 0.0000 0.0000 x3
Cu2 0.0000 0.0000 0.0995 x6
Ag1 0.0000 0.0000 0.2024 x6
Ag2 0.0000 0.0000 0.3016 x6
Ag3 0.0000 0.0000 0.4012 x6
Ag4 0.0000 0.0000 0.5000 x3

---

Diffraction record for Cu3Ag5. The powder XRD pattern is simulated, not measured: it uses a cell relaxed with GGA-PBE and copper Kα.
No peak broadening, texture or thermal motion is included.

Top 10 peaks for 10 to 90 degrees two-theta, low angle first:
34.57 deg, I = 15
36.90 deg, I = 19
38.94 deg, I = 99
39.82 deg, I = 100
40.12 deg, I = 13
44.25 deg, I = 76
48.77 deg, I = 19
67.96 deg, I = 25
77.28 deg, I = 20
79.00 deg, I = 23

Unit cell a=6.9748 b=2.8460 c=6.9768 alpha=90.00 beta=115.27 gamma=90.00
Space group P2/m (No. 10)
Inequivalent atoms, fractional coordinates:
Cu1 0.0000 0.0000 0.0000 x1
Cu2 0.1299 0.5000 0.3331 x2
Ag1 0.2113 0.0000 0.6988 x2
Ag2 0.3628 0.5000 0.1018 x2
Ag3 0.5000 0.0000 0.5000 x1

---

Diffraction record for Cu3Ag2. The powder XRD pattern is simulated, not measured: it uses a cell relaxed with GGA-PBE and copper Kα.
No peak broadening, texture or thermal motion is included.

Top 10 peaks for 10 to 90 degrees two-theta, low angle first:
35.47 deg, I = 7
40.60 deg, I = 100
40.77 deg, I = 33
46.35 deg, I = 47
49.10 deg, I = 15
69.68 deg, I = 10
69.96 deg, I = 10
81.89 deg, I = 15
82.00 deg, I = 8
82.18 deg, I = 7

Unit cell a=18.7468 b=2.7734 c=5.5350 alpha=90.00 beta=98.20 gamma=90.00
Space group Cm (No. 8)
Inequivalent atoms, fractional coordinates:
Cu1 0.0000 0.0000 0.0000 x2
Cu2 0.0027 0.0000 0.5350 x2
Cu3 0.0960 0.5000 0.8225 x2
Cu4 0.2004 0.0000 0.1129 x2
Cu5 0.4137 0.0000 0.7207 x2
Cu6 0.4193 0.0000 0.2308 x2
Ag1 0.0952 0.5000 0.3050 x2
Ag2 0.1997 0.0000 0.6293 x2
Ag3 0.3116 0.5000 0.4199 x2
Ag4 0.3141 0.5000 0.9319 x2

---

Diffraction record for Cu3Ag7. The powder XRD pattern is simulated, not measured: it uses a cell relaxed with GGA-PBE and copper Kα.
No peak broadening, texture or thermal motion is included.

Top 10 peaks for 10 to 90 degrees two-theta, low angle first:
38.59 deg, I = 49
38.77 deg, I = 100
38.90 deg, I = 47
44.39 deg, I = 64
46.37 deg, I = 28
64.58 deg, I = 19
65.92 deg, I = 18
66.35 deg, I = 17
77.85 deg, I = 11
78.08 deg, I = 20

Unit cell a=12.1218 b=2.8849 c=9.4782 alpha=90.00 beta=100.16 gamma=90.00
Space group Cm (No. 8)
Inequivalent atoms, fractional coordinates:
Cu1 0.0000 0.0000 0.0000 x2
Cu2 0.0894 0.0000 0.2712 x2
Cu3 0.4110 0.0000 0.1790 x2
Ag1 0.0000 0.5000 0.4672 x2
Ag2 0.0992 0.5000 0.7955 x2
Ag3 0.1947 0.5000 0.0888 x2
Ag4 0.1981 0.0000 0.5816 x2
Ag5 0.2952 0.5000 0.3698 x2
Ag6 0.3111 0.0000 0.8966 x2
Ag7 0.4019 0.5000 0.6815 x2

---

Diffraction record for Cu3Ag7. The powder XRD pattern is simulated, not measured: it uses a cell relaxed with GGA-PBE and copper Kα.
No peak broadening, texture or thermal motion is included.

Top 10 peaks for 10 to 90 degrees two-theta, low angle first:
35.31 deg, I = 11
38.90 deg, I = 98
39.05 deg, I = 100
39.87 deg, I = 13
44.37 deg, I = 75
47.14 deg, I = 19
64.77 deg, I = 12
66.74 deg, I = 25
77.94 deg, I = 12
78.20 deg, I = 23

Unit cell a=9.5087 b=2.8789 c=11.9199 alpha=90.00 beta=99.94 gamma=90.00
Space group Cm (No. 8)
Inequivalent atoms, fractional coordinates:
Cu1 0.0000 0.0000 0.0000 x2
Cu2 0.0630 0.0000 0.7217 x2
Cu3 0.4068 0.0000 0.8268 x2
Ag1 0.0943 0.5000 0.2008 x2
Ag2 0.1842 0.0000 0.4219 x2
Ag3 0.1957 0.5000 0.8971 x2
Ag4 0.2724 0.5000 0.6442 x2
Ag5 0.3036 0.0000 0.0986 x2
Ag6 0.3900 0.5000 0.3138 x2
Ag7 0.4778 0.0000 0.5298 x2